Record 1
The following is a computed X-ray powder pattern of Pr4AlCo25. It was derived from a crystal structure in the Materials Project, relaxed with PBE, using copper Kα.

Main lines, by angle (10° ≤ 2θ ≤ 90°):
2θ (°), I/Imax, (hkl)
30.73, 482, 1 5 1
36.45, 262, 1 15 0
42.56, 337, 2 10 0
43.12, 1000, 1 15 1
43.37, 552, 2 0 1
45.42, 474, 0 0 2

Structural model:
Cell lengths 4.894, 42.803, 3.994 Å; angles 90.00, 90.00, 90.00 degrees
Space group Cmmm (No. 65)
Asymmetric unit:
Pr 0.000 0.096 0.000 (multiplicity 4)
Pr 0.000 0.301 0.000 (multiplicity 4)
Al 0.000 0.500 0.000 (multiplicity 2)
Co 0.000 0.000 0.500 (multiplicity 2)
Co 0.000 0.029 0.000 (multiplicity 4)
Co 0.000 0.164 0.000 (multiplicity 4)
Co 0.000 0.199 0.500 (multiplicity 4)
Co 0.000 0.233 0.000 (multiplicity 4)
Co 0.000 0.366 0.000 (multiplicity 4)
Co 0.000 0.402 0.500 (multiplicity 4)
Co 0.000 0.444 0.000 (multiplicity 4)
Co 0.244 0.453 0.500 (multiplicity 8)
Co 0.248 0.148 0.500 (multiplicity 8)
Co 0.250 0.250 0.500 (multiplicity 4)

Record 2
The following is a computed X-ray powder pattern of PrAlCo4. It was derived from a crystal structure in the Materials Project, relaxed with PBE, using copper Kα.

Main lines, by angle (10° ≤ 2θ ≤ 90°):
2θ (°), I/Imax, (hkl)
30.42, 732, 1 0 1
34.55, 287, 1 1 0
40.11, 536, 2 0 0
41.86, 1000, 1 1 1
59.40, 341, 1 1 2
63.30, 263, 2 0 2

Structural model:
Cell lengths 5.1915, 5.1915, 3.8825 Å; angles 90.00, 90.00, 120.00 degrees
Space group P-6m2 (No. 187)
Asymmetric unit:
Pr 0.0000 0.0000 0.0000 (multiplicity 1)
Al 0.3333 0.6667 0.0000 (multiplicity 1)
Co 0.5041 0.0081 0.5000 (multiplicity 3)
Co 0.6667 0.3333 0.0000 (multiplicity 1)

Record 3
The following is a computed X-ray powder pattern of Pr2AlCo2. It was derived from a crystal structure in the Materials Project, relaxed with PBE, using copper Kα.

Main lines, by angle (10° ≤ 2θ ≤ 90°):
2θ (°), I/Imax, (hkl)
27.25, 501, 1 1 0
33.93, 1000, 1 1 2
37.50, 411, 1 0 3
37.73, 373, 0 2 2
40.38, 341, 1 2 1
66.00, 252, 1 2 5

Structural model:
Cell lengths 4.021, 5.630, 8.965 Å; angles 90.00, 90.00, 90.00 degrees
Space group Immm (No. 71)
Asymmetric unit:
Pr 0.000 0.000 0.198 (multiplicity 4)
Al 0.000 0.500 0.000 (multiplicity 2)
Co 0.000 0.270 0.500 (multiplicity 4)

Record 4
The following is a computed X-ray powder pattern of Pr2Al3Co14. It was derived from a crystal structure in the Materials Project, relaxed with PBE, using copper Kα.

Main lines, by angle (10° ≤ 2θ ≤ 90°):
2θ (°), I/Imax, (hkl)
30.29, 316, 1 1 3
36.93, 481, 3 0 0
38.09, 487, 0 2 4
42.91, 547, 2 2 0
43.13, 1000, 0 3 3
43.82, 298, 0 0 6

Structural model:
Cell lengths 8.4315, 8.4315, 12.3972 Å; angles 90.00, 90.00, 120.00 degrees
Space group R-3m (No. 166, hexagonal axes)
Asymmetric unit:
Pr 0.0000 0.0000 0.1557 (multiplicity 6)
Al 0.0000 0.5000 0.0000 (multiplicity 9)
Co 0.0000 0.0000 0.4075 (multiplicity 6)
Co 0.0000 0.2866 0.5000 (multiplicity 18)
Co 0.0026 0.5013 0.6567 (multiplicity 18)

Record 5
The following is a computed X-ray powder pattern of PuAlCo. It was derived from a crystal structure in the Materials Project, relaxed with PBE, using copper Kα.

Main lines, by angle (10° ≤ 2θ ≤ 90°):
2θ (°), I/Imax, (hkl)
21.94, 490, 0 0 1
27.98, 333, 1 1 0
32.42, 460, 2 0 0
35.83, 826, 1 1 1
39.49, 1000, 2 0 1
65.09, 388, 3 1 1

Structural model:
Cell lengths 6.3785, 6.3785, 4.0515 Å; angles 90.00, 90.00, 120.00 degrees
Space group P-62m (No. 189)
Asymmetric unit:
Pu 0.0000 0.5715 0.0000 (multiplicity 3)
Al 0.0000 0.2377 0.5000 (multiplicity 3)
Co 0.0000 0.0000 0.0000 (multiplicity 1)
Co 0.3333 0.6667 0.5000 (multiplicity 2)

Record 6
The following is a computed X-ray powder pattern of U3Al3CoRh2. It was derived from a crystal structure in the Materials Project, relaxed with PBE, using copper Kα.

Main lines, by angle (10° ≤ 2θ ≤ 90°):
2θ (°), I/Imax, (hkl)
21.53, 364, 0 0 1
30.58, 422, 2 0 0
34.32, 654, 1 1 1
37.71, 1000, 2 0 1
61.45, 454, 3 1 1
74.38, 370, 3 1 2

Structural model:
Cell lengths 6.7509, 6.7509, 4.1277 Å; angles 90.00, 90.00, 120.00 degrees
Space group P-6 (No. 174)
Asymmetric unit:
U 0.0181 0.5797 0.0000 (multiplicity 3)
Al 0.0033 0.2390 0.5000 (multiplicity 3)
Co 0.3333 0.6667 0.5000 (multiplicity 1)
Rh 0.0000 0.0000 0.0000 (multiplicity 1)
Rh 0.6667 0.3333 0.5000 (multiplicity 1)

Record 7
The following is a computed X-ray powder pattern of Al2CoRu. It was derived from a crystal structure in the Materials Project, relaxed with PBE, using copper Kα.

Main lines, by angle (10° ≤ 2θ ≤ 90°):
2θ (°), I/Imax, (hkl)
30.27, 358, 1 0 0
30.53, 176, 0 0 2
43.34, 508, 1 1 0
43.53, 1000, 1 0 2
62.96, 161, 2 0 0
79.65, 318, 2 1 2

Structural model:
Cell lengths 2.953, 2.953, 5.856 Å; angles 90.00, 90.00, 90.00 degrees
Space group P4/mmm (No. 123)
Asymmetric unit:
Al 0.000 0.000 0.242 (multiplicity 2)
Co 0.500 0.500 0.000 (multiplicity 1)
Ru 0.500 0.500 0.500 (multiplicity 1)

Record 8
The following is a computed X-ray powder pattern of Al2CoRu. It was derived from a crystal structure in the Materials Project, relaxed with PBE, using copper Kα.

Main lines, by angle (10° ≤ 2θ ≤ 90°):
2θ (°), I/Imax, (hkl)
26.23, 93, 1 1 1
30.38, 353, 2 0 0
43.50, 1000, 2 2 0
63.21, 158, 4 0 0
71.74, 106, 4 2 0
79.86, 315, 4 2 2

Structural model:
Cell lengths 5.884, 5.884, 5.884 Å; angles 90.00, 90.00, 90.00 degrees
Space group Fm-3m (No. 225)
Asymmetric unit:
Al 0.250 0.250 0.250 (multiplicity 8)
Co 0.000 0.000 0.000 (multiplicity 4)
Ru 0.000 0.000 0.500 (multiplicity 4)